Structure and computed powder XRD pattern of Ca2Ac2Ge3 (a PBE-relaxed structure; Cu Ka).
Neutral-atom scattering factors, no anomalous dispersion.

Most intense lines, 2θ from 10° to 90°, low angle first:
two_theta, d/Å, I/Imax
13.21, 6.704, 57
21.08, 4.214, 24
22.71, 3.915, 15
23.51, 3.785, 13
27.71, 3.219, 17
31.98, 2.799, 20
32.19, 2.781, 37
33.64, 2.664, 100
34.20, 2.622, 64
46.38, 1.958, 13
57.95, 1.591, 13
61.79, 1.502, 13

Cell and atoms:
```
data_Ca2Ac2Ge3
_cell_length_a 3.635
_cell_length_b 7.576
_cell_length_c 8.558
_cell_angle_alpha 66.20
_cell_angle_beta 89.97
_cell_angle_gamma 89.87
_space_group_name_H-M_alt 'P -1'
_space_group_IT_number 2
loop_
_space_group_symop_operation_xyz
'x,y,z'
'-x,-y,-z'
loop_
_atom_site_label
_atom_site_type_symbol
_atom_site_fract_x
_atom_site_fract_y
_atom_site_fract_z
Ca1 Ca 0.000 0.102 0.265
Ac1 Ac 0.001 0.636 0.248
Ge1 Ge 0.499 0.751 0.519
Ge2 Ge 0.500 0.000 0.000
```


Structure and computed powder XRD pattern of Tb5ScZn6 (a PBE-relaxed structure; Cu Ka).
Neutral-atom scattering factors, no anomalous dispersion.

Most intense lines, 2θ from 10° to 90°, low angle first:
two_theta, d/Å, I/Imax
24.99, 3.564, 5
25.17, 3.538, 10
35.77, 2.510, 100
36.00, 2.495, 20
51.27, 1.782, 7
51.67, 1.769, 14
64.10, 1.453, 7
64.27, 1.449, 21
64.57, 1.443, 14
75.78, 1.255, 10
86.41, 1.126, 6
87.03, 1.120, 6

Cell and atoms:
```
data_Tb5ScZn6
_cell_length_a 4.989
_cell_length_b 15.054
_cell_length_c 7.127
_cell_angle_alpha 90.00
_cell_angle_beta 90.00
_cell_angle_gamma 90.00
_space_group_name_H-M_alt 'C m m m'
_space_group_IT_number 65
_space_group_name_Hall '-C 2 2'
loop_
_atom_site_label
_atom_site_type_symbol
_atom_site_fract_x
_atom_site_fract_y
_atom_site_fract_z
Tb1 Tb 0.000 0.000 0.000
Tb2 Tb 0.000 0.330 0.000
Tb3 Tb 0.000 0.335 0.500
Sc1 Sc 0.000 0.000 0.500
Zn1 Zn 0.000 0.161 0.259
Zn2 Zn 0.000 0.500 0.261
```


Structure and computed powder XRD pattern of LiY2ScHg4 (a PBE-relaxed structure; Cu Ka).
Neutral-atom scattering factors, no anomalous dispersion.

Most intense lines, 2θ from 10° to 90°, low angle first:
two_theta, d/Å, I/Imax
24.72, 3.602, 73
35.17, 2.551, 100
35.30, 2.542, 100
43.57, 2.077, 17
50.69, 1.801, 36
57.10, 1.613, 16
57.27, 1.609, 16
63.03, 1.475, 18
63.31, 1.469, 55
74.67, 1.271, 11
85.08, 1.140, 16
85.30, 1.138, 17

Cell and atoms:
```
data_LiY2ScHg4
_cell_length_a 5.0849
_cell_length_b 5.0849
_cell_length_c 25.0434
_cell_angle_alpha 90.00
_cell_angle_beta 90.00
_cell_angle_gamma 120.00
_space_group_name_H-M_alt 'R -3 m'
_space_group_IT_number 166
_space_group_name_Hall '-R 3 2"'
loop_
_atom_site_label
_atom_site_type_symbol
_atom_site_fract_x
_atom_site_fract_y
_atom_site_fract_z
Li1 Li 0.0000 0.0000 0.0000
Y1 Y 0.0000 0.0000 0.2530
Sc1 Sc 0.0000 0.0000 0.5000
Hg1 Hg 0.0000 0.0000 0.1263
Hg2 Hg 0.0000 0.0000 0.3756
```


Structure and computed powder XRD pattern of Hf4ZnFe (a PBE-relaxed structure; Cu Ka).
Neutral-atom scattering factors, no anomalous dispersion.

Most intense lines, 2θ from 10° to 90°, low angle first:
two_theta, d/Å, I/Imax
27.78, 3.211, 9
32.13, 2.786, 20
35.15, 2.553, 100
37.89, 2.375, 13
42.98, 2.104, 26
44.61, 2.031, 20
59.25, 1.559, 23
61.84, 1.500, 20
67.26, 1.392, 10
70.84, 1.330, 14
80.47, 1.193, 9
84.34, 1.148, 9

Cell and atoms:
```
data_Hf4ZnFe
_cell_length_a 6.423
_cell_length_b 6.423
_cell_length_c 5.571
_cell_angle_alpha 90.00
_cell_angle_beta 90.00
_cell_angle_gamma 90.00
_space_group_name_H-M_alt 'P 4/m c c'
_space_group_IT_number 124
_space_group_name_Hall '-P 4 2c'
loop_
_atom_site_label
_atom_site_type_symbol
_atom_site_fract_x
_atom_site_fract_y
_atom_site_fract_z
Hf1 Hf 0.153 0.314 0.000
Zn1 Zn 0.500 0.500 0.250
Fe1 Fe 0.000 0.000 0.250
```


Structure and computed powder XRD pattern of Ce2PaRhN5 (a PBE-relaxed structure; Cu Ka).
Neutral-atom scattering factors, no anomalous dispersion.

Most intense lines, 2θ from 10° to 90°, low angle first:
two_theta, d/Å, I/Imax
24.95, 3.569, 30
31.10, 2.876, 61
31.87, 2.808, 100
34.86, 2.574, 39
39.61, 2.275, 25
42.74, 2.116, 16
44.53, 2.035, 44
51.20, 1.784, 21
55.83, 1.647, 22
59.68, 1.549, 20
64.81, 1.439, 20
73.61, 1.287, 19

Cell and atoms:
```
data_Ce2PaRhN5
_cell_length_a 6.436
_cell_length_b 6.436
_cell_length_c 5.750
_cell_angle_alpha 90.00
_cell_angle_beta 90.00
_cell_angle_gamma 90.00
_space_group_name_H-M_alt 'P 4/m b m'
_space_group_IT_number 127
_space_group_name_Hall '-P 4 2ab'
loop_
_atom_site_label
_atom_site_type_symbol
_atom_site_fract_x
_atom_site_fract_y
_atom_site_fract_z
Ce1 Ce 0.162 0.338 0.000
Pa1 Pa 0.000 0.000 0.500
Rh1 Rh 0.000 0.500 0.500
N1 N 0.000 0.000 0.000
N2 N 0.168 0.668 0.277
```


Structure and computed powder XRD pattern of Ti3BiPb (a PBE-relaxed structure; Cu Ka).
Neutral-atom scattering factors, no anomalous dispersion.

Most intense lines, 2θ from 10° to 90°, low angle first:
two_theta, d/Å, I/Imax
23.52, 3.783, 20
24.78, 3.593, 100
30.77, 2.905, 16
31.18, 2.869, 16
36.47, 2.463, 13
39.09, 2.304, 30
39.42, 2.286, 28
42.11, 2.146, 17
44.38, 2.041, 26
50.82, 1.797, 13
51.22, 1.783, 15
51.75, 1.766, 15

Cell and atoms:
```
data_Ti3BiPb
_cell_length_a 5.811
_cell_length_b 11.475
_cell_length_c 7.567
_cell_angle_alpha 90.00
_cell_angle_beta 90.00
_cell_angle_gamma 90.00
_space_group_name_H-M_alt 'I m m a'
_space_group_IT_number 74
_space_group_name_Hall '-I 2b 2'
loop_
_atom_site_label
_atom_site_type_symbol
_atom_site_fract_x
_atom_site_fract_y
_atom_site_fract_z
Ti1 Ti 0.000 0.250 0.062
Ti2 Ti 0.250 0.140 0.750
Bi1 Bi 0.000 0.000 0.000
Pb1 Pb 0.000 0.250 0.442
```